Starting from a structure optimized by DFT (GGA-PBE), the X-ray powder pattern of Er3Ni9GeB2 was computed for Cu Kα, 1.54184 Å.

The 10 most intense peaks (15° ≤ 2θ ≤ 90°), sorted by position:
| d [Å] | 2θ (°) | I/Imax |
| --- | --- | --- |
| 4.063 | 21.88 | 212 |
| 3.099 | 28.81 | 426 |
| 2.766 | 32.36 | 343 |
| 2.690 | 33.31 | 275 |
| 2.379 | 37.82 | 210 |
| 2.243 | 40.21 | 1000 |
| 2.031 | 44.61 | 903 |
| 1.895 | 48.00 | 207 |
| 1.549 | 59.68 | 186 |
| 1.345 | 69.94 | 270 |

Structural model:
```
data_Er3Ni9GeB2
_chemical_formula_sum 'Er3 Ni9 Ge1 B2'
_symmetry_space_group_name_H-M 'P 1'
_symmetry_Int_Tables_number 1
_cell_length_a 5.3802
_cell_length_b 5.3802
_cell_length_c 8.2985
_cell_angle_alpha 90.00
_cell_angle_beta 90.00
_cell_angle_gamma 120.00
loop_
_symmetry_equiv_pos_as_xyz
'x,y,z'
loop_
_atom_site_label
_atom_site_type_symbol
_atom_site_fract_x
_atom_site_fract_y
_atom_site_fract_z
Er1 Er 0.0000 0.0000 0.0000
Er2 Er 0.3333 0.6667 0.6275
Er3 Er 0.6667 0.3333 0.3725
Ni1 Ni 0.0000 0.5000 0.0000
Ni2 Ni 0.1659 0.3318 0.2802
Ni3 Ni 0.1659 0.8341 0.2802
Ni4 Ni 0.3318 0.1659 0.7198
Ni5 Ni 0.5000 0.0000 0.0000
Ni6 Ni 0.5000 0.5000 0.0000
Ni7 Ni 0.6682 0.8341 0.2802
Ni8 Ni 0.8341 0.1659 0.7198
Ni9 Ni 0.8341 0.6682 0.7198
Ge1 Ge 0.0000 0.0000 0.5000
B1 B 0.3333 0.6667 0.1445
B2 B 0.6667 0.3333 0.8555
```

Starting from a structure optimized by DFT (GGA-PBE), the X-ray powder pattern of ErBH2O4 was computed for Cu Kα, 1.54184 Å.

The 10 most intense peaks (15° ≤ 2θ ≤ 90°), sorted by position:
| d [Å] | 2θ (°) | I/Imax |
| --- | --- | --- |
| 3.945 | 22.54 | 880 |
| 3.313 | 26.92 | 872 |
| 3.206 | 27.82 | 1000 |
| 2.933 | 30.47 | 293 |
| 2.665 | 33.62 | 281 |
| 2.164 | 41.73 | 715 |
| 2.077 | 43.58 | 556 |
| 1.973 | 46.01 | 259 |
| 1.836 | 49.66 | 264 |
| 1.789 | 51.06 | 402 |

Structural model:
```
data_ErBH2O4
_chemical_formula_sum 'Er1 B1 H2 O4'
_symmetry_space_group_name_H-M 'P 1'
_symmetry_Int_Tables_number 1
_cell_length_a 4.4426
_cell_length_b 4.4426
_cell_length_c 4.4426
_cell_angle_alpha 126.29
_cell_angle_beta 106.26
_cell_angle_gamma 97.35
loop_
_symmetry_equiv_pos_as_xyz
'x,y,z'
loop_
_atom_site_label
_atom_site_type_symbol
_atom_site_fract_x
_atom_site_fract_y
_atom_site_fract_z
Er1 Er 0.0000 0.0000 0.0000
B1 B 0.5000 0.5000 0.0000
H1 H 0.3464 0.8464 0.5000
H2 H 0.6536 0.1536 0.5000
O1 O 0.2111 0.1077 0.6232
O2 O 0.4845 0.5879 0.3768
O3 O 0.5155 0.8923 0.1034
O4 O 0.7889 0.4121 0.8966
```

Starting from a structure optimized by DFT (GGA-PBE), the X-ray powder pattern of HoErB12 was computed for Cu Kα, 1.54184 Å.

The 10 most intense peaks (15° ≤ 2θ ≤ 90°), sorted by position:
| d [Å] | 2θ (°) | I/Imax |
| --- | --- | --- |
| 4.088 | 21.74 | 709 |
| 2.891 | 30.93 | 1000 |
| 2.360 | 38.13 | 420 |
| 2.044 | 44.31 | 213 |
| 1.828 | 49.88 | 504 |
| 1.669 | 55.02 | 289 |
| 1.363 | 68.90 | 277 |
| 1.293 | 73.21 | 198 |
| 1.233 | 77.42 | 132 |
| 1.093 | 89.75 | 187 |

Structural model:
```
data_HoErB12
_chemical_formula_sum 'Ho1 Er1 B12'
_symmetry_space_group_name_H-M 'P 1'
_symmetry_Int_Tables_number 1
_cell_length_a 4.0874
_cell_length_b 4.0874
_cell_length_c 8.1803
_cell_angle_alpha 90.00
_cell_angle_beta 90.00
_cell_angle_gamma 90.00
loop_
_symmetry_equiv_pos_as_xyz
'x,y,z'
loop_
_atom_site_label
_atom_site_type_symbol
_atom_site_fract_x
_atom_site_fract_y
_atom_site_fract_z
Ho1 Ho 0.0000 0.0000 0.0000
Er1 Er 0.0000 0.0000 0.5000
B1 B 0.1987 0.5000 0.2502
B2 B 0.1987 0.5000 0.7498
B3 B 0.5000 0.1987 0.2502
B4 B 0.5000 0.1987 0.7498
B5 B 0.5000 0.5000 0.0994
B6 B 0.5000 0.5000 0.4008
B7 B 0.5000 0.5000 0.5992
B8 B 0.5000 0.5000 0.9006
B9 B 0.5000 0.8013 0.2502
B10 B 0.5000 0.8013 0.7498
B11 B 0.8013 0.5000 0.2502
B12 B 0.8013 0.5000 0.7498
```

Starting from a structure optimized by DFT (GGA-PBE), the X-ray powder pattern of ErInB was computed for Cu Kα, 1.54184 Å.

The 10 most intense peaks (15° ≤ 2θ ≤ 90°), sorted by position:
| d [Å] | 2θ (°) | I/Imax |
| --- | --- | --- |
| 3.418 | 26.07 | 313 |
| 3.137 | 28.46 | 356 |
| 3.079 | 29.00 | 856 |
| 2.792 | 32.06 | 483 |
| 2.735 | 32.75 | 838 |
| 2.428 | 37.03 | 379 |
| 2.241 | 40.24 | 1000 |
| 2.080 | 43.52 | 259 |
| 1.536 | 60.23 | 401 |
| 1.508 | 61.51 | 203 |

Structural model:
```
data_ErInB
_chemical_formula_sum 'Er2 In2 B2'
_symmetry_space_group_name_H-M 'P 1'
_symmetry_Int_Tables_number 1
_cell_length_a 11.3016
_cell_length_b 11.3016
_cell_length_c 3.2026
_cell_angle_alpha 90.00
_cell_angle_beta 90.00
_cell_angle_gamma 162.40
loop_
_symmetry_equiv_pos_as_xyz
'x,y,z'
loop_
_atom_site_label
_atom_site_type_symbol
_atom_site_fract_x
_atom_site_fract_y
_atom_site_fract_z
Er1 Er 0.0713 0.9287 0.7500
Er2 Er 0.9287 0.0713 0.2500
In1 In 0.2997 0.7003 0.2500
In2 In 0.7003 0.2997 0.7500
B1 B 0.4855 0.5145 0.7500
B2 B 0.5145 0.4855 0.2500
```

Starting from a structure optimized by DFT (GGA-PBE), the X-ray powder pattern of Er2B10Ir was computed for Cu Kα, 1.54184 Å.

The 10 most intense peaks (15° ≤ 2θ ≤ 90°), sorted by position:
| d [Å] | 2θ (°) | I/Imax |
| --- | --- | --- |
| 4.004 | 22.20 | 728 |
| 3.350 | 26.61 | 320 |
| 3.217 | 27.73 | 730 |
| 3.138 | 28.44 | 367 |
| 2.885 | 30.99 | 1000 |
| 2.345 | 38.39 | 644 |
| 2.337 | 38.52 | 770 |
| 2.080 | 43.50 | 280 |
| 2.002 | 45.29 | 407 |
| 1.846 | 49.36 | 277 |

Structural model:
```
data_Er2B10Ir
_chemical_formula_sum 'Er4 B20 Ir2'
_symmetry_space_group_name_H-M 'P 1'
_symmetry_Int_Tables_number 1
_cell_length_a 5.6772
_cell_length_b 11.2978
_cell_length_c 4.1608
_cell_angle_alpha 90.00
_cell_angle_beta 90.00
_cell_angle_gamma 90.00
loop_
_symmetry_equiv_pos_as_xyz
'x,y,z'
loop_
_atom_site_label
_atom_site_type_symbol
_atom_site_fract_x
_atom_site_fract_y
_atom_site_fract_z
Er1 Er 0.2043 0.1340 0.0000
Er2 Er 0.2957 0.6340 0.0000
Er3 Er 0.7043 0.3660 0.0000
Er4 Er 0.7957 0.8660 0.0000
B1 B 0.0567 0.3065 0.5000
B2 B 0.1185 0.9576 0.5000
B3 B 0.1356 0.8028 0.5000
B4 B 0.2211 0.3805 0.1983
B5 B 0.2211 0.3805 0.8017
B6 B 0.2789 0.8805 0.1983
B7 B 0.2789 0.8805 0.8017
B8 B 0.3644 0.3028 0.5000
B9 B 0.3815 0.4576 0.5000
B10 B 0.4433 0.8065 0.5000
B11 B 0.5567 0.1935 0.5000
B12 B 0.6185 0.5424 0.5000
B13 B 0.6356 0.6972 0.5000
B14 B 0.7211 0.1195 0.1983
B15 B 0.7211 0.1195 0.8017
B16 B 0.7789 0.6195 0.1983
B17 B 0.7789 0.6195 0.8017
B18 B 0.8644 0.1972 0.5000
B19 B 0.8815 0.0424 0.5000
B20 B 0.9433 0.6935 0.5000
Ir1 Ir 0.0000 0.5000 0.5000
Ir2 Ir 0.5000 0.0000 0.5000
```

Starting from a structure optimized by DFT (GGA-PBE), the X-ray powder pattern of Er2B7Ir12 was computed for Cu Kα, 1.54184 Å.

The 10 most intense peaks (15° ≤ 2θ ≤ 90°), sorted by position:
| d [Å] | 2θ (°) | I/Imax |
| --- | --- | --- |
| 2.963 | 30.16 | 75 |
| 2.913 | 30.69 | 264 |
| 2.349 | 38.31 | 1000 |
| 1.986 | 45.68 | 171 |
| 1.768 | 51.69 | 95 |
| 1.682 | 54.56 | 155 |
| 1.641 | 56.04 | 104 |
| 1.368 | 68.63 | 104 |
| 1.284 | 73.82 | 133 |
| 1.205 | 79.51 | 123 |

Structural model:
```
data_Er2B7Ir12
_chemical_formula_sum 'Er2 B7 Ir12'
_symmetry_space_group_name_H-M 'P 1'
_symmetry_Int_Tables_number 1
_cell_length_a 8.9001
_cell_length_b 8.9001
_cell_length_c 3.9723
_cell_angle_alpha 90.00
_cell_angle_beta 90.00
_cell_angle_gamma 120.00
loop_
_symmetry_equiv_pos_as_xyz
'x,y,z'
loop_
_atom_site_label
_atom_site_type_symbol
_atom_site_fract_x
_atom_site_fract_y
_atom_site_fract_z
Er1 Er 0.3333 0.6667 0.2548
Er2 Er 0.6667 0.3333 0.7452
B1 B 0.0000 0.0000 0.5000
B2 B 0.1186 0.7054 0.7607
B3 B 0.2946 0.4132 0.7607
B4 B 0.4132 0.1186 0.2393
B5 B 0.5868 0.8814 0.7607
B6 B 0.7054 0.5868 0.2393
B7 B 0.8814 0.2946 0.2393
Ir1 Ir 0.0642 0.4432 0.7502
Ir2 Ir 0.0933 0.2462 0.2518
Ir3 Ir 0.1528 0.9067 0.2518
Ir4 Ir 0.2462 0.1528 0.7482
Ir5 Ir 0.3790 0.9358 0.7502
Ir6 Ir 0.4432 0.3790 0.2498
Ir7 Ir 0.5568 0.6210 0.7502
Ir8 Ir 0.6210 0.0642 0.2498
Ir9 Ir 0.7538 0.8472 0.2518
Ir10 Ir 0.8472 0.0933 0.7482
Ir11 Ir 0.9067 0.7538 0.7482
Ir12 Ir 0.9358 0.5568 0.2498
```

Starting from a structure optimized by DFT (GGA-PBE), the X-ray powder pattern of Er4B6Ir7 was computed for Cu Kα, 1.54184 Å.

The 10 most intense peaks (15° ≤ 2θ ≤ 90°), sorted by position:
| d [Å] | 2θ (°) | I/Imax |
| --- | --- | --- |
| 5.603 | 15.82 | 206 |
| 3.235 | 27.58 | 857 |
| 2.801 | 31.95 | 236 |
| 2.287 | 39.39 | 1000 |
| 2.118 | 42.70 | 593 |
| 1.981 | 45.81 | 753 |
| 1.447 | 64.41 | 173 |
| 1.401 | 66.79 | 481 |
| 1.285 | 73.71 | 184 |
| 1.194 | 80.39 | 382 |

Structural model:
```
data_Er4B6Ir7
_chemical_formula_sum 'Er4 B6 Ir7'
_symmetry_space_group_name_H-M 'P 1'
_symmetry_Int_Tables_number 1
_cell_length_a 6.8618
_cell_length_b 6.8618
_cell_length_c 6.8618
_cell_angle_alpha 109.47
_cell_angle_beta 109.47
_cell_angle_gamma 109.47
loop_
_symmetry_equiv_pos_as_xyz
'x,y,z'
loop_
_atom_site_label
_atom_site_type_symbol
_atom_site_fract_x
_atom_site_fract_y
_atom_site_fract_z
Er1 Er 0.0000 0.0000 0.5000
Er2 Er 0.0000 0.5000 0.0000
Er3 Er 0.5000 0.0000 0.0000
Er4 Er 0.5000 0.5000 0.5000
B1 B 0.0000 0.3595 0.3595
B2 B 0.0000 0.6405 0.6405
B3 B 0.3595 0.0000 0.3595
B4 B 0.3595 0.3595 0.0000
B5 B 0.6405 0.0000 0.6405
B6 B 0.6405 0.6405 0.0000
Ir1 Ir 0.0000 0.0000 0.0000
Ir2 Ir 0.2500 0.5000 0.7500
Ir3 Ir 0.2500 0.7500 0.5000
Ir4 Ir 0.5000 0.2500 0.7500
Ir5 Ir 0.5000 0.7500 0.2500
Ir6 Ir 0.7500 0.2500 0.5000
Ir7 Ir 0.7500 0.5000 0.2500
```

Starting from a structure optimized by DFT (GGA-PBE), the X-ray powder pattern of ErNiBIr was computed for Cu Kα, 1.54184 Å.

The 10 most intense peaks (15° ≤ 2θ ≤ 90°), sorted by position:
| d [Å] | 2θ (°) | I/Imax |
| --- | --- | --- |
| 4.366 | 20.34 | 221 |
| 2.625 | 34.16 | 1000 |
| 2.306 | 39.07 | 672 |
| 2.276 | 39.60 | 660 |
| 2.250 | 40.08 | 190 |
| 1.889 | 48.18 | 205 |
| 1.825 | 49.97 | 184 |
| 1.453 | 64.07 | 319 |
| 1.431 | 65.19 | 297 |
| 1.273 | 74.55 | 173 |

Structural model:
```
data_ErNiBIr
_chemical_formula_sum 'Er1 Ni1 B1 Ir1'
_symmetry_space_group_name_H-M 'P 1'
_symmetry_Int_Tables_number 1
_cell_length_a 5.0952
_cell_length_b 5.0952
_cell_length_c 5.0952
_cell_angle_alpha 138.02
_cell_angle_beta 136.49
_cell_angle_gamma 62.06
loop_
_symmetry_equiv_pos_as_xyz
'x,y,z'
loop_
_atom_site_label
_atom_site_type_symbol
_atom_site_fract_x
_atom_site_fract_y
_atom_site_fract_z
Er1 Er 0.0000 0.0000 0.0000
Ni1 Ni 0.3492 0.3492 0.0000
B1 B 0.7574 0.2574 0.5000
Ir1 Ir 0.6469 0.6469 0.0000
```

Starting from a structure optimized by DFT (GGA-PBE), the X-ray powder pattern of LaEr3B4O12 was computed for Cu Kα, 1.54184 Å.

The 10 most intense peaks (15° ≤ 2θ ≤ 90°), sorted by position:
| d [Å] | 2θ (°) | I/Imax |
| --- | --- | --- |
| 5.081 | 17.45 | 171 |
| 3.909 | 22.75 | 1000 |
| 3.098 | 28.82 | 150 |
| 3.059 | 29.19 | 952 |
| 2.540 | 35.33 | 299 |
| 2.130 | 42.44 | 192 |
| 2.117 | 42.71 | 209 |
| 1.954 | 46.47 | 125 |
| 1.916 | 47.46 | 237 |
| 1.893 | 48.08 | 327 |

Structural model:
```
data_LaEr3B4O12
_chemical_formula_sum 'La1 Er3 B4 O12'
_symmetry_space_group_name_H-M 'P 1'
_symmetry_Int_Tables_number 1
_cell_length_a 6.5167
_cell_length_b 6.5167
_cell_length_c 6.5167
_cell_angle_alpha 102.46
_cell_angle_beta 102.46
_cell_angle_gamma 102.46
loop_
_symmetry_equiv_pos_as_xyz
'x,y,z'
loop_
_atom_site_label
_atom_site_type_symbol
_atom_site_fract_x
_atom_site_fract_y
_atom_site_fract_z
La1 La 0.0000 0.0000 0.0000
Er1 Er 0.0000 0.5389 0.4611
Er2 Er 0.4611 0.0000 0.5389
Er3 Er 0.5389 0.4611 0.0000
B1 B 0.0400 0.5000 0.9600
B2 B 0.5000 0.5000 0.5000
B3 B 0.5000 0.9600 0.0400
B4 B 0.9600 0.0400 0.5000
O1 O 0.0277 0.6303 0.8176
O2 O 0.0962 0.9038 0.5000
O3 O 0.1824 0.3697 0.9723
O4 O 0.3637 0.6363 0.5000
O5 O 0.3697 0.9723 0.1824
O6 O 0.5000 0.0962 0.9038
O7 O 0.5000 0.3637 0.6363
O8 O 0.6303 0.8176 0.0277
O9 O 0.6363 0.5000 0.3637
O10 O 0.8176 0.0277 0.6303
O11 O 0.9038 0.5000 0.0962
O12 O 0.9723 0.1824 0.3697
```

Starting from a structure optimized by DFT (GGA-PBE), the X-ray powder pattern of LiErB12 was computed for Cu Kα, 1.54184 Å.

The 10 most intense peaks (15° ≤ 2θ ≤ 90°), sorted by position:
| d [Å] | 2θ (°) | I/Imax |
| --- | --- | --- |
| 4.113 | 21.61 | 382 |
| 3.678 | 24.20 | 919 |
| 2.908 | 30.74 | 1000 |
| 2.742 | 32.66 | 537 |
| 2.374 | 37.89 | 449 |
| 2.282 | 39.50 | 260 |
| 1.995 | 45.47 | 352 |
| 1.839 | 49.56 | 478 |
| 1.795 | 50.88 | 252 |
| 1.371 | 68.44 | 307 |

Structural model:
```
data_LiErB12
_chemical_formula_sum 'Li1 Er1 B12'
_symmetry_space_group_name_H-M 'P 1'
_symmetry_Int_Tables_number 1
_cell_length_a 4.1121
_cell_length_b 4.1121
_cell_length_c 8.2277
_cell_angle_alpha 90.00
_cell_angle_beta 90.00
_cell_angle_gamma 90.00
loop_
_symmetry_equiv_pos_as_xyz
'x,y,z'
loop_
_atom_site_label
_atom_site_type_symbol
_atom_site_fract_x
_atom_site_fract_y
_atom_site_fract_z
Li1 Li 0.0000 0.0000 0.0000
Er1 Er 0.0000 0.0000 0.5000
B1 B 0.2002 0.5000 0.2524
B2 B 0.2002 0.5000 0.7476
B3 B 0.5000 0.2002 0.2524
B4 B 0.5000 0.2002 0.7476
B5 B 0.5000 0.5000 0.1011
B6 B 0.5000 0.5000 0.4011
B7 B 0.5000 0.5000 0.5989
B8 B 0.5000 0.5000 0.8989
B9 B 0.5000 0.7998 0.2524
B10 B 0.5000 0.7998 0.7476
B11 B 0.7998 0.5000 0.2524
B12 B 0.7998 0.5000 0.7476
```